Structure and simulated XRD peak list of LiEu2Hg (a cell relaxed with GGA-PBE; Cu Ka).
Intensities are scaled so that the largest is 100.

Cell and atoms:
Cell lengths 7.842, 7.842, 7.842 Å; angles 90.00, 90.00, 90.00 degrees
Space group Fm-3m (No. 225)
Symmetry-distinct sites (fractional):
Li 0.000 0.000 0.000
Eu 0.250 0.250 0.250
Hg 0.000 0.000 0.500

Peak list (10 most intense, 5° ≤ 2θ ≤ 70°, sorted by position)
d/Å	I_rel	index
4.528	32.2	1 1 1
3.921	4.7	2 0 0
2.773	100.0	2 2 0
2.365	18.9	3 1 1
1.961	18.5	4 0 0
1.799	8.4	3 3 1
1.754	1.9	4 2 0
1.601	38.7	4 2 2
1.509	6.4	5 1 1
1.386	12.1	4 4 0

=====

Structure and simulated XRD peak list of LaSnPt (a cell relaxed with GGA-PBE; Cu Ka).
Intensities are scaled so that the largest is 100.

Cell and atoms:
Cell lengths 7.7325, 7.7325, 4.2119 Å; angles 90.00, 90.00, 120.00 degrees
Space group P-62m (No. 189)
Symmetry-distinct sites (fractional):
La 0.0000 0.5867 0.0000
Sn 0.0000 0.2490 0.5000
Pt 0.0000 0.0000 0.0000
Pt 0.3333 0.6667 0.5000

Peak list (10 most intense, 5° ≤ 2θ ≤ 70°, sorted by position)
d/Å	I_rel	index
3.866	18.4	1 1 0
2.848	66.7	1 1 1
2.621	100.0	2 0 1
2.531	33.1	2 1 0
2.232	38.6	3 0 0
2.169	43.1	2 1 1
2.106	27.6	0 0 2
1.619	17.3	2 1 2
1.532	24.0	3 0 2
1.443	31.4	3 2 1

=====

Structure and simulated XRD peak list of Sr2LiCoN2 (a cell relaxed with GGA-PBE; Cu Ka).
Intensities are scaled so that the largest is 100.

Cell and atoms:
Cell lengths 5.430, 5.430, 7.382 Å; angles 90.00, 90.00, 90.00 degrees
Space group P4_2/mnm (No. 136)
Symmetry-distinct sites (fractional):
Sr 0.000 0.500 0.250
Li 0.000 0.000 0.000
Co 0.000 0.000 0.500
N 0.235 0.235 0.500

Peak list (10 most intense, 5° ≤ 2θ ≤ 70°, sorted by position)
d/Å	I_rel	index
4.374	22.1	1 0 1
3.839	25.4	1 1 0
2.715	41.7	2 0 0
2.661	100.0	1 1 2
2.187	17.1	2 0 2
1.920	22.4	2 2 0
1.845	9.9	0 0 4
1.557	37.1	3 1 2
1.526	14.6	2 0 4
1.357	6.8	4 0 0

=====

Structure and simulated XRD peak list of YAl6Fe6 (a cell relaxed with GGA-PBE; Cu Ka).
Intensities are scaled so that the largest is 100.

Cell and atoms:
Cell lengths 5.011, 8.499, 8.644 Å; angles 90.00, 90.00, 90.00 degrees
Space group Immm (No. 71)
Symmetry-distinct sites (fractional):
Y 0.000 0.000 0.000
Al 0.000 0.000 0.346
Al 0.000 0.337 0.000
Al 0.000 0.500 0.308
Fe 0.000 0.260 0.500
Fe 0.250 0.250 0.250

Peak list (10 most intense, 5° ≤ 2θ ≤ 70°, sorted by position)
d/Å	I_rel	index
4.250	52.9	0 2 0
3.033	70.3	1 2 1
2.168	100.0	2 0 2
2.160	99.2	0 0 4
2.153	81.6	1 2 3
2.142	35.2	1 3 2
2.125	65.2	0 4 0
1.931	85.1	2 2 2
1.926	36.2	0 2 4
1.517	37.0	2 4 2